# 1
Starting from DFT lattice parameters and positions (GGA-PBE), the powder XRD pattern of PmSmRu2 was calculated for copper Kα.
Neutral-atom scattering factors, no anomalous dispersion.

Crystal structure
```
4
Lattice="0.0000 3.4783 3.4783 3.4783 0.0000 3.4783 3.4783 3.4783 0.0000" Properties=species:S:1:pos:R:3 pbc="T T T"
Pm 0.0000 0.0000 0.0000
Sm 3.4783 3.4783 3.4783
Ru 1.7392 1.7392 1.7392
Ru 5.2175 5.2175 5.2175
```

The 7 most intense peaks (10 to 80 degrees two-theta), by angle:
2θ = 25.61°, intensity 4; 2θ = 36.53°, intensity 100; 2θ = 45.15°, intensity 1; 2θ = 52.63°, intensity 17; 2θ = 59.42°, intensity 2; 2θ = 65.76°, intensity 35; 2θ = 77.64°, intensity 11

=====

# 2
Starting from DFT lattice parameters and positions (GGA-PBE), the powder XRD pattern of PmS was calculated for copper Kα.
Neutral-atom scattering factors, no anomalous dispersion.

Crystal structure
```
2
Lattice="0.0000 2.8515 2.8515 2.8515 0.0000 2.8515 2.8515 2.8515 0.0000" Properties=species:S:1:pos:R:3 pbc="T T T"
Pm 0.0000 0.0000 0.0000
S 2.8515 2.8515 2.8515
```

The 8 most intense peaks (10 to 80 degrees two-theta), by angle:
2θ = 27.08°, intensity 75; 2θ = 31.37°, intensity 100; 2θ = 44.96°, intensity 72; 2θ = 53.27°, intensity 37; 2θ = 55.84°, intensity 25; 2θ = 65.47°, intensity 12; 2θ = 72.21°, intensity 15; 2θ = 74.39°, intensity 32

=====

# 3
Starting from DFT lattice parameters and positions (GGA-PBE), the powder XRD pattern of PmS was calculated for copper Kα.
Neutral-atom scattering factors, no anomalous dispersion.

Crystal structure
```
4
Lattice="-1.9725 1.9725 10.6293 1.9725 -1.9725 10.6293 1.9725 1.9725 -10.6293" Properties=species:S:1:pos:R:3 pbc="T T T"
Pm 0.0000 0.0000 4.1478
Pm 0.0000 0.0000 17.1108
S 0.0000 0.0000 7.0035
S 0.0000 0.0000 14.2551
```

The 10 most intense peaks (10 to 80 degrees two-theta), by angle:
2θ = 25.85°, intensity 85; 2θ = 30.92°, intensity 100; 2θ = 32.09°, intensity 95; 2θ = 33.20°, intensity 92; 2θ = 33.73°, intensity 32; 2θ = 37.37°, intensity 46; 2θ = 46.01°, intensity 34; 2θ = 46.84°, intensity 34; 2θ = 47.24°, intensity 49; 2θ = 56.47°, intensity 38

=====

# 4
Starting from DFT lattice parameters and positions (GGA-PBE), the powder XRD pattern of PmS2 was calculated for copper Kα.
Neutral-atom scattering factors, no anomalous dispersion.

Crystal structure
```
6
Lattice="3.9424 0.0000 0.0000 0.0000 3.9424 0.0000 0.0000 0.0000 8.1803" Properties=species:S:1:pos:R:3 pbc="T T T"
Pm 0.9856 0.9856 1.8438
Pm 2.9568 2.9568 6.3366
S 0.9856 0.9856 7.0920
S 0.9856 2.9568 4.0902
S 2.9568 0.9856 4.0902
S 2.9568 2.9568 1.0883
```

The 10 most intense peaks (10 to 80 degrees two-theta), by angle:
2θ = 21.73°, intensity 29; 2θ = 25.07°, intensity 100; 2θ = 32.11°, intensity 40; 2θ = 32.85°, intensity 14; 2θ = 33.97°, intensity 20; 2θ = 39.10°, intensity 67; 2θ = 40.21°, intensity 46; 2θ = 46.04°, intensity 30; 2θ = 53.14°, intensity 27; 2θ = 62.76°, intensity 24

=====

# 5
Starting from DFT lattice parameters and positions (GGA-PBE), the powder XRD pattern of PmS2 was calculated for copper Kα.
Neutral-atom scattering factors, no anomalous dispersion.

Crystal structure
```
12
Lattice="8.1008 0.0000 0.0000 0.0000 4.0152 0.0000 -0.0140 0.0000 8.0067" Properties=species:S:1:pos:R:3 pbc="T T T"
Pm 1.8142 0.8610 2.9697
Pm 1.8072 1.1465 6.9730
Pm 6.2795 2.8686 1.0336
Pm 6.2725 3.1541 5.0370
S 1.0716 2.9715 1.0022
S 1.0646 3.0513 5.0056
S 4.0246 2.6464 3.1317
S 4.0176 3.3763 7.1350
S 4.0692 0.6388 0.8717
S 4.0622 1.3688 4.8750
S 7.0222 0.9639 3.0011
S 7.0151 1.0437 7.0044
```

The 10 most intense peaks (10 to 80 degrees two-theta), by angle:
2θ = 21.94°, intensity 28; 2θ = 24.78°, intensity 100; 2θ = 31.56°, intensity 43; 2θ = 33.18°, intensity 14; 2θ = 33.49°, intensity 18; 2θ = 38.77°, intensity 61; 2θ = 40.27°, intensity 44; 2θ = 45.16°, intensity 11; 2θ = 45.30°, intensity 15; 2θ = 62.12°, intensity 18

=====

# 6
Starting from DFT lattice parameters and positions (GGA-PBE), the powder XRD pattern of PmSc3 was calculated for copper Kα.
Neutral-atom scattering factors, no anomalous dispersion.

Crystal structure
```
4
Lattice="-2.3881 2.3881 4.6969 2.3881 -2.3881 4.6969 2.3881 2.3881 -4.6969" Properties=species:S:1:pos:R:3 pbc="T T T"
Pm 0.0000 0.0000 0.0000
Sc 2.3881 0.0000 2.3484
Sc 0.0000 0.0000 4.6969
Sc 0.0000 2.3881 2.3484
```

The 10 most intense peaks (10 to 80 degrees two-theta), by angle:
2θ = 18.89°, intensity 12; 2θ = 20.86°, intensity 39; 2θ = 32.66°, intensity 100; 2θ = 34.24°, intensity 12; 2θ = 37.67°, intensity 33; 2θ = 38.33°, intensity 16; 2θ = 43.45°, intensity 12; 2θ = 54.83°, intensity 21; 2θ = 64.85°, intensity 25; 2θ = 65.75°, intensity 14

=====

# 7
Starting from DFT lattice parameters and positions (GGA-PBE), the powder XRD pattern of Pm2Se3 was calculated for copper Kα.
Neutral-atom scattering factors, no anomalous dispersion.

Crystal structure
```
20
Lattice="11.4593 0.0000 0.0000 0.0000 4.1513 0.0000 0.0000 0.0000 11.1813" Properties=species:S:1:pos:R:3 pbc="T T T"
Pm 0.1343 1.0378 2.0915
Pm 2.2196 1.0378 5.6144
Pm 3.5101 3.1135 0.0238
Pm 5.5953 3.1135 7.6822
Pm 5.8640 1.0378 3.4991
Pm 7.9493 1.0378 11.1575
Pm 9.2397 3.1135 5.5669
Pm 11.3250 3.1135 9.0898
Se 0.5139 3.1135 4.1896
Se 1.3759 1.0378 10.5576
Se 2.6106 3.1135 7.8054
Se 3.1191 1.0378 2.2148
Se 4.3537 3.1135 4.9670
Se 5.2157 1.0378 9.7802
Se 6.2436 3.1135 1.4011
Se 7.1056 1.0378 6.2143
Se 8.3403 3.1135 8.9665
Se 8.8487 1.0378 3.3759
Se 10.0834 3.1135 0.6237
Se 10.9454 1.0378 6.9917
```

The 10 most intense peaks (10 to 80 degrees two-theta), by angle:
2θ = 22.22°, intensity 61; 2θ = 27.88°, intensity 60; 2θ = 31.04°, intensity 60; 2θ = 32.27°, intensity 75; 2θ = 32.85°, intensity 53; 2θ = 33.24°, intensity 81; 2θ = 35.75°, intensity 100; 2θ = 39.04°, intensity 49; 2θ = 39.66°, intensity 45; 2θ = 43.60°, intensity 66

=====

# 8
Starting from DFT lattice parameters and positions (GGA-PBE), the powder XRD pattern of Pm2Se3 was calculated for copper Kα.
Neutral-atom scattering factors, no anomalous dispersion.

Crystal structure
```
40
Lattice="-4.4479 4.4479 13.3402 4.4479 -4.4479 13.3402 4.4479 4.4479 -13.3402" Properties=species:S:1:pos:R:3 pbc="T T T"
Pm 5.6343 2.2944 -5.6091
Pm 0.0000 0.0000 4.4518
Pm 2.2944 1.1863 1.0610
Pm 3.2616 -2.1535 12.2792
Pm 2.2240 3.3894 -3.3351
Pm 5.5065 2.2240 3.3351
Pm 2.2240 1.0585 10.0052
Pm -1.1863 2.1535 7.7311
Pm 2.2944 3.2616 5.6091
Pm 0.0000 4.4479 2.2183
Pm 1.1863 6.6015 -1.0610
Pm 0.0000 0.0000 22.2286
Pm 2.1535 1.1863 18.9493
Pm -1.0585 2.2240 16.6753
Pm 2.1535 3.2616 14.4012
Pm 0.0000 4.4479 11.1219
Se 1.5623 0.6314 -1.7795
Se 6.0530 -0.6467 3.8961
Se 3.8012 -1.6050 9.4441
Se 2.9031 3.7361 -6.2360
Se 5.1597 1.5449 0.4341
Se 5.0947 2.8429 -2.7740
Se 2.8429 0.6467 3.8961
Se 3.8165 -2.8856 15.1197
Se 1.5449 0.7118 7.1042
Se 1.5449 3.7361 -0.4341
Se -0.6314 2.8856 4.8906
Se 2.8429 3.8012 2.7740
Se 5.0947 1.6050 9.4441
Se 5.1597 2.9031 6.2360
Se 2.9031 0.7118 12.9061
Se -0.6467 1.6050 10.5662
Se 1.6051 0.6467 16.1142
Se 1.5623 3.8165 8.4496
Se -0.7118 2.9031 13.7743
Se 0.6314 6.0103 4.8906
Se 2.8856 3.8165 11.5607
Se -1.5623 5.0794 8.4496
Se 0.6314 7.3336 1.7795
Se -0.7118 1.5449 19.5762
```

The 10 most intense peaks (10 to 80 degrees two-theta), by angle:
2θ = 24.51°, intensity 22; 2θ = 31.81°, intensity 100; 2θ = 37.84°, intensity 66; 2θ = 45.61°, intensity 22; 2θ = 47.97°, intensity 15; 2θ = 50.25°, intensity 11; 2θ = 52.45°, intensity 18; 2θ = 64.59°, intensity 29; 2θ = 68.34°, intensity 13; 2θ = 79.12°, intensity 18

=====

# 9
Starting from DFT lattice parameters and positions (GGA-PBE), the powder XRD pattern of Pm3Si was calculated for copper Kα.
Neutral-atom scattering factors, no anomalous dispersion.

Crystal structure
```
4
Lattice="4.7515 0.0000 0.0000 0.0000 4.7515 0.0000 0.0000 0.0000 4.7515" Properties=species:S:1:pos:R:3 pbc="T T T"
Pm 0.0000 0.0000 2.3757
Pm 0.0000 2.3757 0.0000
Pm 2.3757 0.0000 0.0000
Si 2.3757 2.3757 2.3757
```

The 10 most intense peaks (10 to 80 degrees two-theta), by angle:
2θ = 18.67°, intensity 18; 2θ = 26.53°, intensity 16; 2θ = 32.64°, intensity 100; 2θ = 37.87°, intensity 50; 2θ = 42.54°, intensity 9; 2θ = 46.83°, intensity 7; 2θ = 54.63°, intensity 35; 2θ = 58.25°, intensity 5; 2θ = 65.11°, intensity 41; 2θ = 68.39°, intensity 12

=====

# 10
Starting from DFT lattice parameters and positions (GGA-PBE), the powder XRD pattern of PmSi3 was calculated for copper Kα.
Neutral-atom scattering factors, no anomalous dispersion.

Crystal structure
```
8
Lattice="6.0911 0.0000 0.0000 -3.0455 5.2750 0.0000 0.0000 0.0000 4.7653" Properties=species:S:1:pos:R:3 pbc="T T T"
Pm 0.0000 3.5167 1.1913
Pm 3.0455 1.7583 3.5740
Si 0.0000 1.4309 3.5740
Si -1.8063 4.5596 3.5740
Si 1.2392 0.7155 1.1913
Si 1.8063 4.5596 3.5740
Si 4.8519 0.7155 1.1913
Si 3.0455 3.8441 1.1913
```

The 10 most intense peaks (10 to 80 degrees two-theta), by angle:
2θ = 25.18°, intensity 100; 2θ = 29.33°, intensity 44; 2θ = 33.99°, intensity 22; 2θ = 37.76°, intensity 25; 2θ = 39.03°, intensity 92; 2θ = 48.51°, intensity 22; 2θ = 49.56°, intensity 20; 2θ = 60.86°, intensity 22; 2θ = 66.90°, intensity 20; 2θ = 69.02°, intensity 17

=====

# 11
Starting from DFT lattice parameters and positions (GGA-PBE), the powder XRD pattern of Pm2ZnSi was calculated for copper Kα.
Neutral-atom scattering factors, no anomalous dispersion.

Crystal structure
```
4
Lattice="0.0000 3.6187 3.6187 3.6187 0.0000 3.6187 3.6187 3.6187 0.0000" Properties=species:S:1:pos:R:3 pbc="T T T"
Pm 1.8094 1.8094 1.8094
Pm 5.4281 5.4281 5.4281
Zn 0.0000 0.0000 0.0000
Si 3.6187 3.6187 3.6187
```

The 10 most intense peaks (10 to 80 degrees two-theta), by angle:
2θ = 21.26°, intensity 3; 2θ = 24.60°, intensity 30; 2θ = 35.07°, intensity 100; 2θ = 41.38°, intensity 2; 2θ = 43.31°, intensity 9; 2θ = 50.44°, intensity 18; 2θ = 56.90°, intensity 12; 2θ = 62.91°, intensity 36; 2θ = 74.11°, intensity 11; 2θ = 79.45°, intensity 6

=====

# 12
Starting from DFT lattice parameters and positions (GGA-PBE), the powder XRD pattern of Pm3Sm was calculated for copper Kα.
Neutral-atom scattering factors, no anomalous dispersion.

Crystal structure
```
4
Lattice="-2.5781 2.5781 5.1805 2.5781 -2.5781 5.1805 2.5781 2.5781 -5.1805" Properties=species:S:1:pos:R:3 pbc="T T T"
Pm 0.0000 0.0000 0.0000
Pm 2.5781 0.0000 2.5903
Pm 0.0000 2.5781 2.5903
Sm 0.0000 0.0000 5.1805
```

The 10 most intense peaks (10 to 80 degrees two-theta), by angle:
2θ = 29.97°, intensity 100; 2θ = 34.63°, intensity 17; 2θ = 34.80°, intensity 34; 2θ = 49.91°, intensity 24; 2θ = 50.03°, intensity 12; 2θ = 59.20°, intensity 15; 2θ = 59.43°, intensity 29; 2θ = 62.28°, intensity 12; 2θ = 73.06°, intensity 2; 2θ = 73.46°, intensity 4

=====

# 13
Starting from DFT lattice parameters and positions (GGA-PBE), the powder XRD pattern of Pm3Sm was calculated for copper Kα.
Neutral-atom scattering factors, no anomalous dispersion.

Crystal structure
```
8
Lattice="7.3207 0.0000 0.0000 -3.6604 6.3399 0.0000 0.0000 0.0000 5.9762" Properties=species:S:1:pos:R:3 pbc="T T T"
Pm 0.0000 2.1135 1.4940
Pm -1.8300 5.2832 1.4940
Pm 1.8303 1.0568 4.4821
Pm 1.8300 5.2832 1.4940
Pm 5.4904 1.0568 4.4821
Pm 3.6604 4.2264 4.4821
Sm 0.0000 4.2266 4.4821
Sm 3.6604 2.1133 1.4940
```

The 10 most intense peaks (10 to 80 degrees two-theta), by angle:
2θ = 28.15°, intensity 23; 2θ = 29.90°, intensity 26; 2θ = 31.96°, intensity 100; 2θ = 41.53°, intensity 16; 2θ = 49.82°, intensity 19; 2θ = 54.40°, intensity 22; 2θ = 59.20°, intensity 23; 2θ = 60.42°, intensity 16; 2θ = 66.81°, intensity 4; 2θ = 76.86°, intensity 8

=====

# 14
Starting from DFT lattice parameters and positions (GGA-PBE), the powder XRD pattern of PmSm was calculated for copper Kα.
Neutral-atom scattering factors, no anomalous dispersion.

Crystal structure
```
2
Lattice="3.6549 0.0000 0.0000 -1.8275 3.1653 0.0000 0.0000 0.0000 5.9814" Properties=species:S:1:pos:R:3 pbc="T T T"
Pm 0.0000 0.0000 0.0000
Sm 1.8275 1.0551 2.9907
```

The 10 most intense peaks (10 to 80 degrees two-theta), by angle:
2θ = 28.19°, intensity 23; 2θ = 29.88°, intensity 27; 2θ = 31.99°, intensity 100; 2θ = 41.54°, intensity 16; 2θ = 49.90°, intensity 19; 2θ = 54.38°, intensity 22; 2θ = 59.26°, intensity 23; 2θ = 60.51°, intensity 16; 2θ = 66.89°, intensity 4; 2θ = 76.91°, intensity 8